Theoretical powder X-ray diffraction pattern
Compound: NaLaTbCoO6
Radiation: CuKα
Structure: a structure optimized by DFT (PBE+U)

Largest 10 diffraction maxima, in order of rising 2θ, 10 to 80 degrees two-theta:
- 2θ = 19.15°, I 35, hkl 1 1 1
- 2θ = 22.14°, I 9, hkl 2 0 0
- 2θ = 31.52°, I 100, hkl 2 2 0
- 2θ = 37.14°, I 24, hkl 3 1 1
- 2θ = 45.18°, I 33, hkl 4 0 0
- 2θ = 49.49°, I 12, hkl 3 3 1
- 2θ = 56.12°, I 39, hkl 4 2 2
- 2θ = 59.86°, I 7, hkl 3 3 3
- 2θ = 65.80°, I 19, hkl 4 4 0
- 2θ = 74.79°, I 17, hkl 6 2 0

Structure:
Cell: 8.0284 8.0284 8.0284 Å, 90.00 90.00 90.00°
Space group F-43m (No. 216)
Asymmetric unit:
Na: 0.0000 0.0000 0.0000 [4 per cell]
La: 0.0000 0.0000 0.5000 [4 per cell]
Tb: 0.2500 0.2500 0.7500 [4 per cell]
Co: 0.2500 0.2500 0.2500 [4 per cell]
O: 0.0212 0.2500 0.2500 [24 per cell]